Entry 1:
Diffraction record for Sm8Tc2Ag. The PXRD pattern is simulated, not measured: it uses a structure optimized by DFT (GGA-PBE) and λ = 1.5418 Å (Cu Kα).

Structure:
Cell: 7.879 7.879 5.786 Å, 98.89 98.89 112.08°
Fractional coordinates of all 11 atoms:
Sm 0.000 0.000 0.000
Sm 0.050 0.312 0.612
Sm 0.143 0.618 0.202
Sm 0.312 0.050 0.612
Sm 0.449 0.711 0.792
Sm 0.618 0.143 0.202
Sm 0.711 0.449 0.792
Sm 0.760 0.760 0.404
Tc 0.070 0.691 0.702
Tc 0.691 0.070 0.702
Ag 0.380 0.380 0.207

Largest 10 diffraction maxima, in order of rising 2θ, 2θ from 5° to 70°:
29.7 deg, I = 21
29.9 deg, I = 46
31.7 deg, I = 100
32.1 deg, I = 63
34.7 deg, I = 42
35.1 deg, I = 18
38.0 deg, I = 25
38.3 deg, I = 26
52.2 deg, I = 19
65.1 deg, I = 18

Entry 2:
Diffraction record for Pm2Er2Tm15. The PXRD pattern is simulated, not measured: it uses a structure optimized by DFT (GGA-PBE) and λ = 1.5418 Å (Cu Kα).

Structure:
Cell: 8.623 8.623 8.623 Å, 79.80 79.80 79.80°
Fractional coordinates of all 19 atoms:
Pm 0.115 0.115 0.115
Pm 0.885 0.885 0.885
Er 0.327 0.327 0.327
Er 0.673 0.673 0.673
Tm 0.000 0.000 0.500
Tm 0.000 0.304 0.696
Tm 0.000 0.500 0.000
Tm 0.000 0.696 0.304
Tm 0.151 0.633 0.633
Tm 0.304 0.000 0.696
Tm 0.304 0.696 0.000
Tm 0.367 0.367 0.849
Tm 0.367 0.849 0.367
Tm 0.500 0.000 0.000
Tm 0.633 0.151 0.633
Tm 0.633 0.633 0.151
Tm 0.696 0.000 0.304
Tm 0.696 0.304 0.000
Tm 0.849 0.367 0.367

Largest 10 diffraction maxima, in order of rising 2θ, 2θ from 5° to 70°:
27.7 deg, I = 33
27.9 deg, I = 32
30.9 deg, I = 39
31.8 deg, I = 49
32.0 deg, I = 100
32.4 deg, I = 57
36.0 deg, I = 84
52.1 deg, I = 19
55.6 deg, I = 25
57.7 deg, I = 30

Entry 3:
Diffraction record for Sm5Ru2I2. The PXRD pattern is simulated, not measured: it uses a structure optimized by DFT (GGA-PBE) and λ = 1.5418 Å (Cu Kα).

Structure:
Cell: 9.384 9.384 7.966 Å, 90.00 90.00 50.27°
Fractional coordinates of all 18 atoms:
Sm 0.000 0.000 0.000
Sm 0.050 0.740 0.654
Sm 0.240 0.550 0.154
Sm 0.260 0.950 0.654
Sm 0.450 0.760 0.154
Sm 0.500 0.500 0.500
Sm 0.550 0.240 0.846
Sm 0.740 0.050 0.346
Sm 0.760 0.450 0.846
Sm 0.950 0.260 0.346
Ru 0.143 0.857 0.358
Ru 0.357 0.643 0.858
Ru 0.643 0.357 0.142
Ru 0.857 0.143 0.642
I 0.217 0.217 0.000
I 0.283 0.283 0.500
I 0.717 0.717 0.500
I 0.783 0.783 0.000

Largest 10 diffraction maxima, in order of rising 2θ, 2θ from 5° to 70°:
10.4 deg, I = 55
29.6 deg, I = 29
30.7 deg, I = 100
31.8 deg, I = 25
32.8 deg, I = 60
36.0 deg, I = 99
36.5 deg, I = 54
40.7 deg, I = 24
55.9 deg, I = 28
61.4 deg, I = 42

Entry 4:
Diffraction record for HoPaAsN2. The PXRD pattern is simulated, not measured: it uses a structure optimized by DFT (GGA-PBE) and λ = 1.5418 Å (Cu Kα).

Structure:
Cell: 3.877 3.877 12.518 Å, 90.00 90.00 90.00°
Fractional coordinates of all 10 atoms:
Ho 0.000 0.000 0.000
Ho 0.500 0.500 0.500
Pa 0.000 0.000 0.325
Pa 0.500 0.500 0.825
As 0.000 0.000 0.663
As 0.500 0.500 0.163
N 0.000 0.500 0.404
N 0.000 0.500 0.904
N 0.500 0.000 0.404
N 0.500 0.000 0.904

Largest 10 diffraction maxima, in order of rising 2θ, 2θ from 5° to 70°:
14.1 deg, I = 15
24.0 deg, I = 17
31.5 deg, I = 100
32.7 deg, I = 40
43.4 deg, I = 9
43.9 deg, I = 6
46.9 deg, I = 19
55.3 deg, I = 22
57.6 deg, I = 37
65.8 deg, I = 11

Entry 5:
Diffraction record for MgHgOs4. The PXRD pattern is simulated, not measured: it uses a structure optimized by DFT (GGA-PBE) and λ = 1.5418 Å (Cu Kα).

Structure:
Cell: 5.241 5.241 5.241 Å, 60.00 60.00 60.00°
Fractional coordinates of all 6 atoms:
Mg 0.000 0.000 0.000
Hg 0.250 0.250 0.250
Os 0.125 0.625 0.625
Os 0.625 0.125 0.625
Os 0.625 0.625 0.125
Os 0.625 0.625 0.625

Largest 10 diffraction maxima, in order of rising 2θ, 2θ from 5° to 70°:
20.8 deg, I = 36
24.0 deg, I = 10
34.2 deg, I = 13
40.4 deg, I = 100
42.2 deg, I = 57
49.2 deg, I = 13
53.9 deg, I = 9
55.4 deg, I = 4
61.3 deg, I = 5
65.4 deg, I = 33

Question: Number 5 is which compound?
Answer: MgHgOs4

Repeat the fourth record exactly.
Diffraction record for HoPaAsN2. The PXRD pattern is simulated, not measured: it uses a structure optimized by DFT (GGA-PBE) and λ = 1.5418 Å (Cu Kα).

Structure:
Cell: 3.877 3.877 12.518 Å, 90.00 90.00 90.00°
Fractional coordinates of all 10 atoms:
Ho 0.000 0.000 0.000
Ho 0.500 0.500 0.500
Pa 0.000 0.000 0.325
Pa 0.500 0.500 0.825
As 0.000 0.000 0.663
As 0.500 0.500 0.163
N 0.000 0.500 0.404
N 0.000 0.500 0.904
N 0.500 0.000 0.404
N 0.500 0.000 0.904

Largest 10 diffraction maxima, in order of rising 2θ, 2θ from 5° to 70°:
14.1 deg, I = 15
24.0 deg, I = 17
31.5 deg, I = 100
32.7 deg, I = 40
43.4 deg, I = 9
43.9 deg, I = 6
46.9 deg, I = 19
55.3 deg, I = 22
57.6 deg, I = 37
65.8 deg, I = 11